# 1
For VCo23Pt6, a crystal structure in Alexandria, relaxed with GGA-PBE gives the computed PXRD pattern in this record (Cu Kα).

Cell and atoms:
```
VCo23Pt6
1.0
0.0000 5.6849 5.6849
5.6849 0.0000 5.6849
5.6849 5.6849 0.0000
V Co Pt
1 23 6
Direct
0.0000 0.0000 0.0000
0.0000 0.0000 0.5000
0.0000 0.5000 0.0000
0.0000 0.5000 0.5000
0.1390 0.6203 0.6203
0.1701 0.1701 0.1701
0.1701 0.1701 0.4897
0.1701 0.4897 0.1701
0.3797 0.3797 0.3797
0.3797 0.3797 0.8610
0.3797 0.8610 0.3797
0.4897 0.1701 0.1701
0.5000 0.0000 0.0000
0.5000 0.0000 0.5000
0.5000 0.5000 0.0000
0.5000 0.5000 0.5000
0.5103 0.8299 0.8299
0.6203 0.1390 0.6203
0.6203 0.6203 0.1390
0.6203 0.6203 0.6203
0.8299 0.5103 0.8299
0.8299 0.8299 0.5103
0.8299 0.8299 0.8299
0.8610 0.3797 0.3797
0.2229 0.2229 0.7771
0.2229 0.7771 0.2229
0.2229 0.7771 0.7771
0.7771 0.2229 0.2229
0.7771 0.2229 0.7771
0.7771 0.7771 0.2229
```

Top 6 peaks for 10 to 90 degrees two-theta, in order of rising 2θ:
- 3.282 Å, 27.2 deg, I = 28
- 2.842 Å, 31.5 deg, I = 23
- 2.321 Å, 38.8 deg, I = 19
- 2.188 Å, 41.3 deg, I = 48
- 2.010 Å, 45.1 deg, I = 100
- 1.160 Å, 83.3 deg, I = 19

---

# 2
For Ac2In3Ag, a crystal structure in Alexandria, relaxed with GGA-PBE gives the computed PXRD pattern in this record (Cu Kα).

Cell and atoms:
```
Ac2In3Ag
1.0
4.0838 0.0000 0.0000
0.0000 5.0569 0.0000
0.0000 0.0000 8.7673
Ac In Ag
2 3 1
Direct
0.0000 0.0000 0.0000
0.0000 0.5000 0.4906
0.5000 0.0000 0.6531
0.5000 0.5000 0.1691
0.5000 0.5000 0.8302
0.5000 0.0000 0.3249
```

Top 6 peaks for 10 to 90 degrees two-theta, in order of rising 2θ:
- 4.382 Å, 20.3 deg, I = 12
- 2.987 Å, 29.9 deg, I = 100
- 2.530 Å, 35.5 deg, I = 57
- 1.931 Å, 47.1 deg, I = 29
- 1.589 Å, 58.1 deg, I = 28
- 1.535 Å, 60.3 deg, I = 27

---

# 3
For Pr4GeAsS2, a crystal structure in Alexandria, relaxed with GGA-PBE gives the computed PXRD pattern in this record (Cu Kα).

Cell and atoms:
```
Pr4GeAsS2
1.0
-4.2285 4.2296 5.9810
4.2285 -4.2296 5.9810
4.2285 4.2296 -5.9810
Pr Ge As S
8 2 2 4
Direct
0.2495 0.2490 0.0005
0.2507 0.2506 0.4999
0.2507 0.7509 0.0001
0.2515 0.7510 0.5005
0.7485 0.2490 0.4995
0.7493 0.2491 0.9999
0.7493 0.7494 0.5001
0.7505 0.7510 0.9995
0.0000 0.0000 0.0000
0.5000 0.0000 0.5000
0.0000 0.0000 0.5000
0.0000 0.5000 0.0000
0.0000 0.5000 0.5000
0.5000 0.0000 0.0000
0.5000 0.5000 0.0000
0.5000 0.5000 0.5000
```

Top 6 peaks for 10 to 90 degrees two-theta, in order of rising 2θ:
- 3.453 Å, 25.8 deg, I = 37
- 2.990 Å, 29.9 deg, I = 100
- 2.115 Å, 42.8 deg, I = 74
- 1.727 Å, 53.0 deg, I = 26
- 1.337 Å, 70.4 deg, I = 33
- 1.221 Å, 78.3 deg, I = 25